Diffraction record for BaNp2AlO8. The powder XRD pattern is theoretical, not measured: it uses a cell relaxed with PBE and CuKα.
No peak broadening, texture or thermal motion is included.

Main lines, in order of rising 2θ (5° ≤ 2θ ≤ 70°):
17.74 deg, rel. 88, hkl 1 1 0; 23.75 deg, rel. 100, hkl 2 0 0; 26.55 deg, rel. 73, hkl 0 2 0; 30.39 deg, rel. 86, hkl 1 1 -2; 31.25 deg, rel. 70, hkl 1 1 2; 35.92 deg, rel. 46, hkl 2 2 0; 45.50 deg, rel. 38, hkl 3 1 -2; 47.33 deg, rel. 30, hkl 3 1 2; 49.33 deg, rel. 27, hkl 1 3 -2; 49.91 deg, rel. 24, hkl 1 3 2

Structure:
abc: 7.500 6.714 7.129
angles: 90.00 92.48 90.00
Space group C2/m (No. 12)
One atom of each set of equivalent atoms:
Ba1 0.000 0.000 0.000 x2
Np1 0.008 0.500 0.269 x4
Al1 0.000 0.000 0.500 x2
O1 0.004 0.199 0.689 x8
O2 0.158 0.500 0.965 x4
O3 0.188 0.500 0.496 x4